For Ba2TmMgRuO6, a crystal structure in the Materials Project, relaxed with PBE gives the computed X-ray powder pattern in this record (Cu Kα X-rays).
Peak positions follow from Bragg's law for the DFT cell and can differ from measured ones.

Principal peaks in the range 10° ≤ 2θ ≤ 90°, by angle:
Position (°2θ)	d_spacing	Rel. int.
27.8	3.213	29
30.0	2.978	100
32.1	2.788	22
41.2	2.193	19
53.3	1.720	20
62.4	1.489	18

Crystal structure
```
Ba2TmMgRuO6
1.0
5.163 -2.976 0.000
5.163 2.976 0.000
-3.506 0.000 5.503
Ba Tm Mg Ru O
2 1 1 1 6
direct
0.000 0.000 0.000
0.546 0.546 0.643
0.209 0.209 0.631
0.379 0.379 0.132
0.736 0.736 0.215
0.484 0.484 0.965
0.485 0.966 0.429
0.487 0.996 0.973
0.966 0.485 0.429
0.969 0.969 0.434
0.996 0.487 0.973
```

For YMg2, a crystal structure in the Materials Project, relaxed with PBE gives the computed X-ray powder pattern in this record (Cu Kα X-rays).
Peak positions follow from Bragg's law for the DFT cell and can differ from measured ones.

Principal peaks in the range 10° ≤ 2θ ≤ 90°, by angle:
Position (°2θ)	d_spacing	Rel. int.
18.0	4.932	32
29.6	3.020	79
34.8	2.575	100
52.5	1.743	30
55.9	1.644	30
61.4	1.510	23

Crystal structure
```
YMg2
1.0
3.022 1.745 4.925
-3.022 1.745 4.925
0.000 -3.489 4.925
Y Mg
2 4
direct
0.122 0.122 0.122
0.878 0.878 0.878
0.000 0.500 0.500
0.500 0.000 0.500
0.500 0.500 0.000
0.500 0.500 0.500
```

For K3Rh, a crystal structure in the Materials Project, relaxed with PBE gives the computed X-ray powder pattern in this record (Cu Kα X-rays).
Peak positions follow from Bragg's law for the DFT cell and can differ from measured ones.

Principal peaks in the range 10° ≤ 2θ ≤ 90°, by angle:
Position (°2θ)	d_spacing	Rel. int.
13.0	6.831	27
26.1	3.415	26
30.6	2.919	100
31.8	2.810	21
38.4	2.346	18
57.1	1.614	18

Crystal structure
```
K3Rh
1.0
7.888 0.000 0.000
-3.944 6.831 0.000
0.000 0.000 5.621
K Rh
6 2
direct
0.187 0.374 0.250
0.187 0.813 0.250
0.374 0.187 0.750
0.626 0.813 0.250
0.813 0.187 0.750
0.813 0.626 0.750
0.333 0.667 0.750
0.667 0.333 0.250
```